1.
This entry pairs a crystal structure of CeGaO2 with its simulated X-ray diffraction stick pattern. Radiation: Cu Kα (weighted mean of Kα1 and Kα2). Structure: DFT lattice parameters and positions (GGA-PBE).
Kinematic intensities with the Lorentz-polarization factor, no thermal factor.

The 10 most intense peaks (2θ from 15° to 90°), sorted by position:
2theta	d (Å)	intensity
21.7	4.098	16
30.9	2.898	48
34.8	2.579	100
41.4	2.183	13
44.2	2.049	33
57.4	1.604	46
64.3	1.449	10
64.7	1.440	12
73.4	1.290	14
75.2	1.263	10

Crystal structure
```
4
Lattice="4.0979 0.0000 0.0000 0.0000 4.0979 0.0000 0.0000 0.0000 3.3188" Properties=species:S:1:pos:R:3 pbc="T T T"
Ce 0.0000 0.0000 0.0000
Ga 2.0489 2.0489 1.6594
O 0.0000 2.0489 1.6594
O 2.0489 0.0000 1.6594
```

2.
This entry pairs a crystal structure of NaCaAlS3O12 with its simulated X-ray diffraction stick pattern. Radiation: Cu Kα (weighted mean of Kα1 and Kα2). Structure: DFT lattice parameters and positions (GGA-PBE).
Kinematic intensities with the Lorentz-polarization factor, no thermal factor.

The 10 most intense peaks (2θ from 15° to 90°), sorted by position:
2theta	d (Å)	intensity
19.7	4.498	9
23.5	3.788	100
24.7	3.608	11
28.4	3.147	12
31.3	2.859	13
31.5	2.839	32
35.3	2.542	12
45.3	2.003	9
48.0	1.894	9
51.9	1.762	9

Crystal structure
```
36
Lattice="4.4034 2.5423 7.4265 -4.4034 2.5423 7.4265 0.0000 -5.0846 7.4265" Properties=species:S:1:pos:R:3 pbc="T T T"
Na 0.0000 0.0000 0.0000
Na 0.0000 0.0000 11.1398
Ca 0.0000 0.0000 7.9330
Ca 0.0000 0.0000 19.0728
Al 0.0000 0.0000 3.2562
Al 0.0000 0.0000 14.3959
S -1.8442 -2.7889 9.2285
S -2.9102 0.4493 12.9418
S -1.4932 2.9916 9.2286
S 1.0660 -2.7449 12.9418
S 3.3374 -0.2026 9.2285
S 1.8442 2.2956 12.9418
O -2.5970 -2.5714 10.4444
O -1.1000 -4.1047 9.3337
O -1.8064 -0.0291 6.7311
O -3.3501 -0.9445 12.8038
O -0.8571 -1.7111 9.0905
O -3.2651 1.2798 11.7312
O -3.0048 3.0049 9.3337
O 0.9284 -1.5498 6.7312
O 0.5242 -3.4675 11.7312
O -1.0533 1.5978 9.0905
O -1.3986 0.4626 13.0470
O -1.1383 -1.2625 15.4445
O 0.8780 1.5789 6.7312
O 0.2986 -1.4425 13.0470
O -0.9284 3.5347 10.4444
O 1.9104 0.1132 9.0905
O 2.4930 -2.4291 12.8038
O -0.5242 1.6171 15.4445
O 1.1000 0.9799 13.0470
O 3.5254 -0.9634 10.4444
O 1.6625 -0.3546 15.4445
O 0.8571 3.3735 12.8038
O 4.1047 1.0998 9.3337
O 2.7408 2.1877 11.7312
```

3.
This entry pairs a crystal structure of MgTi2S4 with its simulated X-ray diffraction stick pattern. Radiation: Cu Kα (weighted mean of Kα1 and Kα2). Structure: DFT lattice parameters and positions (GGA-PBE).
Kinematic intensities with the Lorentz-polarization factor, no thermal factor.

The 10 most intense peaks (2θ from 15° to 90°), sorted by position:
2theta	d (Å)	intensity
31.3	2.856	47
31.6	2.828	87
34.8	2.581	40
38.3	2.351	61
38.9	2.316	100
41.7	2.168	27
42.3	2.136	18
46.9	1.935	36
52.2	1.753	85
66.5	1.405	21

Crystal structure
```
7
Lattice="3.5054 0.0000 0.0000 1.7522 3.0365 0.0000 0.0124 1.7558 13.2876" Properties=species:S:1:pos:R:3 pbc="T T T"
Mg 0.0000 0.0000 0.0000
Ti 1.7705 3.0342 3.3276
Ti 1.7467 2.7793 9.9837
S 1.7701 1.0092 4.6134
S 3.5018 3.7884 11.6378
S 3.5202 2.0154 1.6737
S 3.4996 1.7665 8.7015
```

4.
This entry pairs a crystal structure of Tm11Ge10 with its simulated X-ray diffraction stick pattern. Radiation: Cu Kα (weighted mean of Kα1 and Kα2). Structure: DFT lattice parameters and positions (GGA-PBE).
Kinematic intensities with the Lorentz-polarization factor, no thermal factor.

The 10 most intense peaks (2θ from 15° to 90°), sorted by position:
2theta	d (Å)	intensity
25.3	3.517	24
33.2	2.701	54
33.3	2.689	100
34.2	2.620	92
34.4	2.611	41
35.0	2.563	44
35.2	2.547	75
37.4	2.407	42
53.7	1.706	23
54.4	1.686	22

Crystal structure
```
42
Lattice="-5.4041 5.4041 8.0898 5.4041 -5.4041 8.0898 5.4041 5.4041 -8.0898" Properties=species:S:1:pos:R:3 pbc="T T T"
Tm 5.4041 2.6748 -3.0740
Tm 3.5003 0.0000 1.6627
Tm 7.3078 0.0000 1.6627
Tm 0.0000 0.0000 2.5945
Tm 5.4041 -1.9038 6.4271
Tm 2.6748 5.4041 -3.0740
Tm 2.7293 0.0000 5.0158
Tm 3.4933 3.4933 0.0000
Tm 1.9108 -1.9108 8.0898
Tm 0.0000 3.5003 1.6627
Tm 5.4041 2.6748 3.0740
Tm 0.0000 2.7293 5.0158
Tm 5.4041 1.9038 6.4271
Tm -1.9108 1.9108 8.0898
Tm 1.9108 1.9108 8.0898
Tm 2.6748 5.4041 3.0740
Tm 2.7293 0.0000 11.1639
Tm 0.0000 7.3078 1.6627
Tm 0.0000 0.0000 13.5851
Tm -1.9038 5.4041 6.4271
Tm 1.9038 5.4041 6.4271
Tm 0.0000 2.7293 11.1639
Ge 2.2681 2.2681 -2.9233
Ge 3.1360 -3.1360 5.1665
Ge 1.3076 1.3076 0.0000
Ge 4.0965 -4.0965 8.0898
Ge 5.4041 1.5024 0.0000
Ge 5.4041 0.0000 4.0449
Ge 0.0000 0.0000 6.2319
Ge 2.2681 2.2681 2.9233
Ge 3.1360 -3.1360 11.0132
Ge 1.5024 5.4041 0.0000
Ge 3.9016 0.0000 8.0898
Ge -3.1360 3.1360 5.1665
Ge 3.1360 3.1360 5.1665
Ge 0.0000 0.0000 9.9477
Ge 0.0000 5.4041 4.0449
Ge 0.0000 3.9016 8.0898
Ge -4.0965 4.0965 8.0898
Ge 4.0965 4.0965 8.0898
Ge -3.1360 3.1360 11.0132
Ge 3.1360 3.1360 11.0132
```

5.
This entry pairs a crystal structure of TaBi3O7 with its simulated X-ray diffraction stick pattern. Radiation: Cu Kα (weighted mean of Kα1 and Kα2). Structure: DFT lattice parameters and positions (GGA-PBE).
Kinematic intensities with the Lorentz-polarization factor, no thermal factor.

The 10 most intense peaks (2θ from 15° to 90°), sorted by position:
2theta	d (Å)	intensity
27.4	3.256	100
28.1	3.174	92
28.4	3.140	96
28.7	3.114	95
32.0	2.799	52
32.8	2.727	46
33.0	2.711	46
45.9	1.978	31
46.3	1.961	54
55.1	1.667	37

Crystal structure
```
11
Lattice="3.7693 0.0000 0.0000 1.8474 3.4636 0.0000 1.8669 1.1378 12.6954" Properties=species:S:1:pos:R:3 pbc="T T T"
Ta 0.0000 0.0000 0.0000
Bi 1.9094 0.8667 2.9422
Bi 3.7881 1.9838 6.4691
Bi 5.6531 3.1119 9.7645
O 1.8815 2.9964 1.9495
O 3.7693 4.2986 10.7598
O 1.9103 0.6858 0.5021
O 3.7872 1.9409 8.7898
O 3.7860 1.8510 4.0475
O 5.6708 3.0710 12.2327
O 5.6689 3.1893 6.6706
```